[1]
Pm2ReB10: simulated powder diffraction line list (Cu Kα X-rays), based on a cell relaxed with PBE.
Peak positions follow from Bragg's law for the DFT cell and can differ from measured ones.

Peak list (10 most intense, 2θ = 10–80°, most intense first)
2θ (°)	I (rel.)
30.47	100
37.81	79
37.69	74
21.75	69
27.29	66
44.34	47
17.14	44
26.19	35
27.86	32
15.37	28

Crystal structure
Cell lengths 5.791, 11.530, 4.214 Å; angles 90.00, 90.00, 90.00 degrees
Space group Pbam (No. 55)
Unique sites:
1 Pm 0.220 0.134 0.000
2 Re 0.000 0.500 0.500
3 B 0.061 0.307 0.500
4 B 0.120 0.959 0.500
5 B 0.130 0.803 0.500
6 B 0.225 0.381 0.201

[2]
PmB2Rh6: simulated powder diffraction line list (Cu Kα X-rays), based on a cell relaxed with PBE.
Peak positions follow from Bragg's law for the DFT cell and can differ from measured ones.

Peak list (10 most intense, 2θ = 10–80°, most intense first)
2θ (°)	I (rel.)
33.95	100
48.77	55
37.10	54
44.57	33
28.02	31
68.19	25
73.36	20
76.53	15
62.82	12
60.75	11

Crystal structure
Cell lengths 10.563, 10.563, 10.563 Å; angles 90.00, 90.00, 90.00 degrees
Space group Fd-3m (No. 227, origin choice 2)
Unique sites:
1 Pm 0.125 0.125 0.125
2 B 0.000 0.000 0.500
3 Rh 0.082 0.375 0.875

[3]
PmB4Rh4: simulated powder diffraction line list (Cu Kα X-rays), based on a cell relaxed with PBE.
Peak positions follow from Bragg's law for the DFT cell and can differ from measured ones.

Peak list (10 most intense, 2θ = 10–80°, most intense first)
2θ (°)	I (rel.)
39.44	100
35.54	80
39.64	73
28.97	46
44.81	36
70.49	31
63.79	23
33.54	22
54.14	21
23.46	21

Crystal structure
Cell lengths 5.362, 5.362, 7.532 Å; angles 90.00, 90.00, 90.00 degrees
Space group P4_2/nmc (No. 137, origin choice 2)
Unique sites:
1 Pm 0.250 0.750 0.250
2 B 0.081 0.250 0.099
3 Rh 0.001 0.750 0.606

[4]
PmSnBRh2: simulated powder diffraction line list (Cu Kα X-rays), based on a cell relaxed with PBE.
Peak positions follow from Bragg's law for the DFT cell and can differ from measured ones.

Peak list (10 most intense, 2θ = 10–80°, most intense first)
2θ (°)	I (rel.)
34.44	100
26.65	48
43.61	42
38.56	38
74.17	21
59.60	21
51.85	16
63.38	14
44.53	13
31.69	11

Crystal structure
Cell lengths 4.151, 4.151, 5.647 Å; angles 90.00, 90.00, 90.00 degrees
Space group P4mm (No. 99)
Unique sites:
1 Pm 0.000 0.000 0.000
2 Sn 0.500 0.500 0.259
3 B 0.000 0.000 0.534
4 Rh 0.000 0.500 0.559

[5]
PmB3Ru6: simulated powder diffraction line list (Cu Kα X-rays), based on a cell relaxed with PBE.
Peak positions follow from Bragg's law for the DFT cell and can differ from measured ones.

Peak list (10 most intense, 2θ = 10–80°, most intense first)
2θ (°)	I (rel.)
37.40	100
38.00	47
37.59	43
35.96	38
33.37	29
38.69	28
39.01	23
29.84	23
32.04	20
45.39	20

Crystal structure
Cell lengths 5.510, 5.642, 5.657 Å; angles 67.47, 60.96, 65.45 degrees
Space group P1 (No. 1)
Unique sites:
1 Pm 0.000 0.000 0.000
2 B 0.305 0.075 0.256
3 B 0.608 0.083 0.626
4 B 0.851 0.492 0.664
5 Ru 0.037 0.798 0.571
6 Ru 0.340 0.355 0.409
7 Ru 0.434 0.362 0.878
8 Ru 0.538 0.807 0.513
9 Ru 0.582 0.739 0.032
10 Ru 0.878 0.349 0.360

[6]
Pm2BRu3: simulated powder diffraction line list (Cu Kα X-rays), based on a cell relaxed with PBE.
Peak positions follow from Bragg's law for the DFT cell and can differ from measured ones.

Peak list (10 most intense, 2θ = 10–80°, most intense first)
2θ (°)	I (rel.)
37.75	100
34.15	98
35.74	92
36.15	71
50.57	65
70.54	31
64.86	30
52.75	24
28.45	22
69.51	21

Crystal structure
Cell lengths 3.224, 4.969, 13.577 Å; angles 90.00, 90.00, 90.00 degrees
Space group Immm (No. 71)
Unique sites:
1 Pm 0.000 0.000 0.181
2 B 0.000 0.000 0.500
3 Ru 0.000 0.500 0.103
4 Ru 0.000 0.500 0.500

[7]
Pm5BS4: simulated powder diffraction line list (Cu Kα X-rays), based on a cell relaxed with PBE.
Peak positions follow from Bragg's law for the DFT cell and can differ from measured ones.

Peak list (10 most intense, 2θ = 10–80°, most intense first)
2θ (°)	I (rel.)
27.14	100
45.05	81
31.39	76
31.52	38
53.33	29
55.96	27
74.48	21
53.50	16
74.72	12
72.42	12

Crystal structure
Cell lengths 9.011, 9.011, 5.677 Å; angles 90.00, 90.00, 90.00 degrees
Space group I4/m (No. 87)
Unique sites:
1 Pm 0.000 0.000 0.000
2 Pm 0.094 0.284 0.500
3 B 0.000 0.000 0.500
4 S 0.097 0.302 0.000

[8]
PmBS3: simulated powder diffraction line list (Cu Kα X-rays), based on a cell relaxed with PBE.
Peak positions follow from Bragg's law for the DFT cell and can differ from measured ones.

Peak list (10 most intense, 2θ = 10–80°, most intense first)
2θ (°)	I (rel.)
25.66	100
21.35	97
33.57	80
18.85	74
19.91	70
35.73	69
38.58	55
37.97	51
34.53	43
40.18	42

Crystal structure
Cell lengths 7.537, 6.026, 8.917 Å; angles 90.00, 90.00, 90.00 degrees
Space group Pna2_1 (No. 33)
Unique sites:
1 Pm 0.117 0.067 0.000
2 B 0.145 0.599 0.170
3 S 0.001 0.396 0.510
4 S 0.173 0.835 0.297
5 S 0.203 0.866 0.700

[9]
Tb2PmB6: simulated powder diffraction line list (Cu Kα X-rays), based on a cell relaxed with PBE.
Peak positions follow from Bragg's law for the DFT cell and can differ from measured ones.

Peak list (10 most intense, 2θ = 10–80°, most intense first)
2θ (°)	I (rel.)
38.72	100
31.18	73
22.40	47
56.37	28
60.57	21
55.48	19
69.70	18
74.63	16
79.82	12
45.71	11

Crystal structure
Cell lengths 5.7379, 5.7379, 3.9698 Å; angles 90.00, 90.00, 120.00 degrees
Space group P6/mmm (No. 191)
Unique sites:
1 Tb 0.3333 0.6667 0.0000
2 Pm 0.0000 0.0000 0.0000
3 B 0.0000 0.3375 0.5000

[10]
PmTc2B4: simulated powder diffraction line list (Cu Kα X-rays), based on a cell relaxed with PBE.
Peak positions follow from Bragg's law for the DFT cell and can differ from measured ones.

Peak list (10 most intense, 2θ = 10–80°, most intense first)
2θ (°)	I (rel.)
40.57	100
34.35	89
25.71	71
39.73	71
64.54	38
63.17	37
36.66	29
74.37	22
51.24	19
24.21	18

Crystal structure
Cell lengths 3.085, 3.566, 14.706 Å; angles 90.00, 90.00, 90.00 degrees
Space group Immm (No. 71)
Unique sites:
1 Pm 0.000 0.000 0.000
2 Tc 0.000 0.500 0.310
3 B 0.000 0.000 0.394
4 B 0.000 0.500 0.157

[11]
PmTcB: simulated powder diffraction line list (Cu Kα X-rays), based on a cell relaxed with PBE.
Peak positions follow from Bragg's law for the DFT cell and can differ from measured ones.

Peak list (10 most intense, 2θ = 10–80°, most intense first)
2θ (°)	I (rel.)
38.20	100
24.84	52
10.22	38
31.01	35
26.59	28
36.97	28
59.99	27
46.09	16
47.99	14
60.50	13

Crystal structure
Cell lengths 3.418, 17.303, 3.938 Å; angles 90.00, 90.00, 90.00 degrees
Space group Cmcm (No. 63)
Unique sites:
1 Pm 0.000 0.098 0.250
2 Tc 0.000 0.256 0.750
3 B 0.000 0.326 0.250

[12]
PmThB12: simulated powder diffraction line list (Cu Kα X-rays), based on a cell relaxed with PBE.
Peak positions follow from Bragg's law for the DFT cell and can differ from measured ones.

Peak list (10 most intense, 2θ = 10–80°, most intense first)
2θ (°)	I (rel.)
30.70	100
21.58	75
49.49	51
37.84	42
54.58	31
68.33	28
43.97	21
72.59	20
76.75	14
63.94	11

Crystal structure
Cell lengths 4.117, 4.117, 8.242 Å; angles 90.00, 90.00, 90.00 degrees
Space group P4/mmm (No. 123)
Unique sites:
1 Pm 0.000 0.000 0.000
2 Th 0.000 0.000 0.500
3 B 0.198 0.500 0.250
4 B 0.500 0.500 0.099
5 B 0.500 0.500 0.401